(1)
Calculated powder X-ray diffraction pattern of Pm5Cd2O2 for λ = 1.5418 Å (Cu Kα), from a structure optimized by DFT (PBE).

Largest 8 diffraction maxima, in order of rising 2θ, 10 to 90 degrees two-theta:
- 27.39 deg, intensity 35, (0 5 1)
- 28.51 deg, intensity 25, (2 1 1)
- 31.72 deg, intensity 73, (0 4 2)
- 31.96 deg, intensity 100, (2 4 0)
- 35.62 deg, intensity 69, (2 0 2)
- 39.44 deg, intensity 25, (0 8 0)
- 54.18 deg, intensity 28, (2 8 2)
- 61.83 deg, intensity 22, (4 4 2)

Atomic structure:
Unit cell a=7.0882 b=18.2762 c=7.1715 alpha=90.00 beta=90.00 gamma=90.00
Space group Imma (No. 74)
Unique sites:
Pm1 0.0000 0.1360 0.0813 (multiplicity 8)
Pm2 0.2500 0.0184 0.7500 (multiplicity 8)
Pm3 0.2500 0.2500 0.7500 (multiplicity 4)
Cd1 0.0000 0.1284 0.5121 (multiplicity 8)
O1 0.0000 0.0000 0.0000 (multiplicity 4)
O2 0.0000 0.2500 0.9650 (multiplicity 4)

***

(2)
Calculated powder X-ray diffraction pattern of Li3B4C4 for λ = 1.5418 Å (Cu Kα), from a structure optimized by DFT (PBE).

Largest 8 diffraction maxima, in order of rising 2θ, 10 to 90 degrees two-theta:
- 22.57 deg, intensity 3, (1 1 1)
- 24.92 deg, intensity 100, (0 0 2)
- 38.12 deg, intensity 9, (2 2 0)
- 46.08 deg, intensity 54, (2 2 2)
- 51.13 deg, intensity 17, (0 0 4)
- 68.89 deg, intensity 18, (4 0 0)
- 74.51 deg, intensity 10, (4 0 2)
- 86.91 deg, intensity 7, (0 8 2)

Atomic structure:
Unit cell a=5.4498 b=9.4477 c=7.1461 alpha=90.00 beta=90.00 gamma=90.00
Space group Cmce (No. 64)
Unique sites:
Li1 0.0000 0.0000 0.0000 (multiplicity 4)
Li2 0.2500 0.2500 0.0000 (multiplicity 8)
B1 0.0000 0.1654 0.2563 (multiplicity 8)
B2 0.2500 0.0824 0.7500 (multiplicity 8)
C1 0.0000 0.1672 0.7582 (multiplicity 8)
C2 0.2500 0.0833 0.2500 (multiplicity 8)

***

(3)
Calculated powder X-ray diffraction pattern of TbY5Sc4 for λ = 1.5418 Å (Cu Kα), from a structure optimized by DFT (PBE).

Largest 8 diffraction maxima, in order of rising 2θ, 10 to 90 degrees two-theta:
- 31.80 deg, intensity 100, (5 1 0)
- 36.70 deg, intensity 17, (6 0 -2)
- 36.81 deg, intensity 16, (4 0 2)
- 37.15 deg, intensity 16, (0 2 0)
- 53.26 deg, intensity 22, (6 2 -2)
- 63.04 deg, intensity 13, (11 1 -2)
- 63.18 deg, intensity 12, (9 1 2)
- 63.65 deg, intensity 13, (5 3 0)

Atomic structure:
Unit cell a=17.6524 b=4.8398 c=6.9121 alpha=90.00 beta=101.45 gamma=90.00
Space group Cm (No. 8)
Unique sites:
Tb1 0.0000 0.0000 0.0000 (multiplicity 2)
Y1 0.0988 0.5000 0.7963 (multiplicity 2)
Y2 0.1958 0.0000 0.5828 (multiplicity 2)
Y3 0.2983 0.5000 0.9015 (multiplicity 2)
Y4 0.3950 0.0000 0.6885 (multiplicity 2)
Y5 0.4938 0.5000 0.4832 (multiplicity 2)
Sc1 0.0995 0.5000 0.2892 (multiplicity 2)
Sc2 0.1990 0.0000 0.1000 (multiplicity 2)
Sc3 0.2944 0.5000 0.3842 (multiplicity 2)
Sc4 0.3941 0.0000 0.1940 (multiplicity 2)

***

(4)
Calculated powder X-ray diffraction pattern of Pm2Sm4HoTm2 for λ = 1.5418 Å (Cu Kα), from a structure optimized by DFT (PBE).

Largest 8 diffraction maxima, in order of rising 2θ, 10 to 90 degrees two-theta:
- 30.49 deg, intensity 100, (6 0 1)
- 35.35 deg, intensity 51, (3 1 2)
- 50.83 deg, intensity 30, (9 1 0)
- 60.41 deg, intensity 22, (12 0 -1)
- 60.50 deg, intensity 21, (6 2 1)
- 63.49 deg, intensity 6, (6 2 -2)
- 82.86 deg, intensity 10, (15 1 1)
- 85.46 deg, intensity 11, (15 1 -2)

Atomic structure:
Unit cell a=18.6642 b=3.5862 c=8.8077 alpha=90.00 beta=90.05 gamma=90.00
Space group C2/m (No. 12)
Unique sites:
Pm1 0.1115 0.0000 0.3290 (multiplicity 4)
Sm1 0.0556 0.5000 0.6708 (multiplicity 4)
Sm2 0.2219 0.0000 0.6709 (multiplicity 4)
Ho1 0.0000 0.0000 0.0000 (multiplicity 2)
Tm1 0.1670 0.5000 0.9998 (multiplicity 4)

***

(5)
Calculated powder X-ray diffraction pattern of Co5Ni6Rh2 for λ = 1.5418 Å (Cu Kα), from a structure optimized by DFT (PBE).

Largest 8 diffraction maxima, in order of rising 2θ, 10 to 90 degrees two-theta:
- 39.05 deg, intensity 49, (1 6 0)
- 43.72 deg, intensity 71, (4 1 0)
- 44.95 deg, intensity 53, (1 4 1)
- 45.25 deg, intensity 33, (3 5 0)
- 45.40 deg, intensity 63, (1 7 0)
- 45.82 deg, intensity 100, (2 3 1)
- 48.94 deg, intensity 40, (2 4 1)
- 52.26 deg, intensity 35, (3 3 1)

Atomic structure:
Unit cell a=8.3697 b=14.3991 c=2.5444 alpha=90.00 beta=90.00 gamma=90.00
Space group Pbam (No. 55)
Unique sites:
Co1 0.0000 0.0000 0.0000 (multiplicity 2)
Co2 0.0909 0.2782 0.0000 (multiplicity 4)
Co3 0.2112 0.5497 0.0000 (multiplicity 4)
Ni1 0.0570 0.4239 0.5000 (multiplicity 4)
Ni2 0.0658 0.1348 0.5000 (multiplicity 4)
Ni3 0.1918 0.8800 0.0000 (multiplicity 4)
Rh1 0.1653 0.7124 0.5000 (multiplicity 4)

***

(6)
Calculated powder X-ray diffraction pattern of TlZn2CrCl8 for λ = 1.5418 Å (Cu Kα), from a structure optimized by DFT (PBE).

Largest 8 diffraction maxima, in order of rising 2θ, 10 to 90 degrees two-theta:
- 20.49 deg, intensity 100, (1 0 4)
- 27.07 deg, intensity 24, (0 0 9)
- 28.95 deg, intensity 38, (1 1 0)
- 30.36 deg, intensity 40, (2 -1 3)
- 34.27 deg, intensity 26, (1 1 6)
- 35.73 deg, intensity 26, (0 2 4)
- 47.13 deg, intensity 27, (2 -1 12)
- 51.31 deg, intensity 24, (3 0 0)

Atomic structure:
Unit cell a=6.1680 b=6.1680 c=29.6503 alpha=90.00 beta=90.00 gamma=120.00
Space group R-3 (No. 148, hexagonal axes)
Unique sites:
Tl1 0.0000 0.0000 0.0000 (multiplicity 3)
Zn1 0.0000 0.0000 0.2372 (multiplicity 6)
Cr1 0.0000 0.0000 0.5000 (multiplicity 3)
Cl1 0.0000 0.0000 0.3124 (multiplicity 6)
Cl2 0.0145 0.6486 0.2135 (multiplicity 18)